The following is a simulated powder XRD pattern of LiVC2O6. It was derived from a cell relaxed with PBE+U, using Cu Kα (λ = 1.5418 Å).

Principal peaks in the range 10 to 80 degrees two-theta, by angle:
2θ/deg  I/Imax  (hkl)
18.92  100  0 1 1
23.02  27  1 0 0
27.56  23  1 1 0
27.98  23  1 1 -2
32.38  47  0 2 1
34.14  29  1 1 1
34.85  28  1 1 -3
38.28  47  1 2 0
41.26  31  1 0 -4
50.62  27  1 3 -1

```
20
Lattice="4.410 0.000 0.000 0.000 5.929 0.000 -4.221 0.000 7.668" Properties=species:S:1:pos:R:3 pbc="T T T"
Li 0.000 0.000 0.000
Li -2.110 2.964 3.834
V 0.095 0.000 3.834
V 2.205 2.964 0.000
C -2.082 0.810 5.717
C 0.029 2.154 1.883
C 0.160 3.774 5.785
C 2.271 5.118 1.951
O -3.570 3.973 6.880
O -1.460 4.920 3.046
O -2.599 1.168 6.854
O -0.489 1.796 3.020
O -1.025 3.278 5.839
O 1.085 5.615 2.005
O -0.896 0.314 5.663
O 1.215 2.650 1.829
O 0.678 4.133 4.647
O 2.789 4.760 0.814
O 1.649 1.009 4.622
O 3.759 1.955 0.788
```